Entry 1:
Structure and computed X-ray diffraction stick pattern of CsCd3Ge (a DFT-relaxed cell (PBE, Alexandria); CuKα).

Atomic structure:
```
data_CsCd3Ge
_space_group_name_H-M_alt 'F m m 2'
_space_group_IT_number 42
_space_group_name_Hall 'F 2 -2'
_cell_length_a 6.975
_cell_length_b 7.050
_cell_length_c 12.159
_cell_angle_alpha 90.00
_cell_angle_beta 90.00
_cell_angle_gamma 90.00
loop_
_atom_site_label
_atom_site_fract_x
_atom_site_fract_y
_atom_site_fract_z
_atom_site_occupancy
Cs1 0.000 0.000 0.000 1
Cd1 0.000 0.000 0.612 1
Cd2 0.250 0.250 0.262 1
Ge1 0.000 0.000 0.375 1
```

Peak list (10 most intense, 10° ≤ 2θ ≤ 80°, sorted by position)
h k l  d/Å  intensity
1 1 3  3.138  77
0 2 2  3.048  97
2 0 2  3.025  84
2 2 0  2.479  100
0 2 4  2.302  20
2 0 4  2.292  23
1 1 5  2.183  38
2 4 2  1.523  23
4 2 2  1.514  23
2 2 8  1.296  24

Entry 2:
Structure and computed X-ray diffraction stick pattern of Na2CdRh3F12 (a DFT-relaxed cell (PBE, Alexandria); CuKα).

Atomic structure:
```
data_Na2CdRh3F12
_space_group_name_H-M_alt 'R -3 m'
_space_group_IT_number 166
_space_group_name_Hall '-R 3 2"'
_cell_length_a 7.5306
_cell_length_b 7.5306
_cell_length_c 16.8026
_cell_angle_alpha 90.00
_cell_angle_beta 90.00
_cell_angle_gamma 120.00
loop_
_atom_site_label
_atom_site_fract_x
_atom_site_fract_y
_atom_site_fract_z
_atom_site_occupancy
Na1 0.0000 0.0000 0.1488 1
Cd1 0.0000 0.0000 0.5000 1
Rh1 0.0000 0.5000 0.0000 1
F1 0.0221 0.5111 0.8797 1
F2 0.0632 0.5316 0.3090 1
```

Peak list (10 most intense, 10° ≤ 2θ ≤ 80°, sorted by position)
h k l  d/Å  intensity
1 0 1  6.080  100
0 0 3  5.601  19
0 2 1  3.201  32
1 1 3  3.125  54
2 0 2  3.040  43
0 0 6  2.800  26
0 2 4  2.576  18
0 3 3  2.027  18
2 2 0  1.883  36
2 2 6  1.562  22